Record 1
Simulated PXRD pattern
Compound: KCe3Br8
Radiation: Cu Kα (λ = 1.5418 Å)
Structure: DFT lattice parameters and positions (GGA-PBE)

The 10 most intense peaks (10° ≤ 2θ ≤ 90°), sorted by position:
| d [Å] | 2θ (°) | intensity |
| --- | --- | --- |
| 8.166 | 10.83 | 68 |
| 6.918 | 12.80 | 17 |
| 3.107 | 28.73 | 100 |
| 2.511 | 35.75 | 21 |
| 2.334 | 38.57 | 39 |
| 2.082 | 43.47 | 33 |
| 1.895 | 48.02 | 13 |
| 1.730 | 52.94 | 18 |
| 1.458 | 63.86 | 14 |
| 1.330 | 70.83 | 15 |

Cell and atoms:
Unit cell a=9.4759 b=9.4759 c=9.4759 alpha=52.13 beta=52.13 gamma=52.13
Fractional positions:
K 0.0000 0.0000 0.0000
Ce 0.0000 0.0000 0.5000
Ce 0.0000 0.5000 0.0000
Ce 0.5000 0.0000 0.0000
Br 0.2390 0.7377 0.7377
Br 0.2428 0.2428 0.2428
Br 0.2623 0.2623 0.7610
Br 0.2623 0.7610 0.2623
Br 0.7377 0.2390 0.7377
Br 0.7377 0.7377 0.2390
Br 0.7572 0.7572 0.7572
Br 0.7610 0.2623 0.2623

---

Record 2
Simulated PXRD pattern
Compound: K2CePbBr8
Radiation: Cu Kα (λ = 1.5418 Å)
Structure: DFT lattice parameters and positions (GGA-PBE)

The 10 most intense peaks (10° ≤ 2θ ≤ 90°), sorted by position:
| d [Å] | 2θ (°) | intensity |
| --- | --- | --- |
| 7.621 | 11.61 | 65 |
| 7.110 | 12.45 | 57 |
| 5.321 | 16.66 | 66 |
| 5.084 | 17.44 | 35 |
| 3.860 | 23.04 | 38 |
| 3.479 | 25.61 | 100 |
| 3.297 | 27.05 | 49 |
| 2.670 | 33.57 | 71 |
| 2.300 | 39.17 | 46 |
| 2.224 | 40.57 | 60 |

Cell and atoms:
Unit cell a=7.1171 b=9.1941 c=7.6290 alpha=90.00 beta=92.61 gamma=90.00
Fractional positions:
K 0.0000 0.2456 0.0000
K 0.0000 0.7544 0.0000
Ce 0.5000 0.5000 0.5000
Pb 0.5000 0.0000 0.5000
Br 0.2536 0.0000 0.1819
Br 0.2783 0.2743 0.6335
Br 0.2783 0.7257 0.6335
Br 0.2788 0.5000 0.1898
Br 0.7212 0.5000 0.8102
Br 0.7217 0.2743 0.3665
Br 0.7217 0.7257 0.3665
Br 0.7464 0.0000 0.8181

---

Record 3
Simulated PXRD pattern
Compound: KSr2CeBr8
Radiation: Cu Kα (λ = 1.5418 Å)
Structure: DFT lattice parameters and positions (GGA-PBE)

The 10 most intense peaks (10° ≤ 2θ ≤ 90°), sorted by position:
| d [Å] | 2θ (°) | intensity |
| --- | --- | --- |
| 5.046 | 17.58 | 68 |
| 3.920 | 22.68 | 19 |
| 3.451 | 25.82 | 100 |
| 3.228 | 27.63 | 48 |
| 2.669 | 33.57 | 17 |
| 2.625 | 34.15 | 76 |
| 2.523 | 35.58 | 31 |
| 2.365 | 38.05 | 26 |
| 2.158 | 41.86 | 44 |
| 2.012 | 45.06 | 19 |

Cell and atoms:
Unit cell a=7.0051 b=9.4602 c=7.2755 alpha=90.00 beta=90.03 gamma=90.00
Fractional positions:
K 0.0000 0.0000 0.0000
Sr 0.5000 0.2462 0.5000
Sr 0.5000 0.7538 0.5000
Ce 0.0000 0.5000 0.0000
Br 0.2324 0.2789 0.8360
Br 0.2324 0.7211 0.8360
Br 0.2628 0.5000 0.3265
Br 0.2744 0.0000 0.3516
Br 0.7256 0.0000 0.6484
Br 0.7372 0.5000 0.6735
Br 0.7676 0.2789 0.1640
Br 0.7676 0.7211 0.1640

---

Record 4
Simulated PXRD pattern
Compound: La2CeBr2N2
Radiation: Cu Kα (λ = 1.5418 Å)
Structure: DFT lattice parameters and positions (GGA-PBE)

The 10 most intense peaks (10° ≤ 2θ ≤ 90°), sorted by position:
| d [Å] | 2θ (°) | intensity |
| --- | --- | --- |
| 8.206 | 10.78 | 30 |
| 3.227 | 27.65 | 81 |
| 2.665 | 33.63 | 100 |
| 2.282 | 39.50 | 38 |
| 1.733 | 52.83 | 55 |
| 1.613 | 57.09 | 13 |
| 1.463 | 63.61 | 11 |
| 1.443 | 64.59 | 15 |
| 1.380 | 67.92 | 13 |
| 1.181 | 81.52 | 16 |

Cell and atoms:
Unit cell a=8.8177 b=8.8177 c=8.8177 alpha=150.01 beta=150.01 gamma=42.93
Fractional positions:
La 0.0945 0.0945 0.0000
La 0.9055 0.9055 0.0000
Ce 0.5000 0.5000 0.0000
Br 0.3146 0.3146 0.0000
Br 0.6854 0.6854 0.0000
N 0.0000 0.5000 0.5000
N 0.5000 0.0000 0.5000

---

Record 5
Simulated PXRD pattern
Compound: LaCeBrN
Radiation: Cu Kα (λ = 1.5418 Å)
Structure: DFT lattice parameters and positions (GGA-PBE)

The 10 most intense peaks (10° ≤ 2θ ≤ 90°), sorted by position:
| d [Å] | 2θ (°) | intensity |
| --- | --- | --- |
| 3.174 | 28.11 | 46 |
| 2.795 | 32.03 | 82 |
| 2.623 | 34.18 | 100 |
| 2.537 | 35.38 | 30 |
| 1.860 | 48.98 | 19 |
| 1.850 | 49.24 | 43 |
| 1.512 | 61.30 | 18 |
| 1.495 | 62.08 | 35 |
| 1.185 | 81.19 | 16 |
| 1.171 | 82.35 | 15 |

Cell and atoms:
Unit cell a=7.9053 b=7.9053 c=7.9053 alpha=27.07 beta=27.07 gamma=27.07
Fractional positions:
La 0.0000 0.0000 0.0000
Ce 0.7875 0.7875 0.7875
Br 0.2251 0.2251 0.2251
N 0.3989 0.3989 0.3989

---

Record 6
Simulated PXRD pattern
Compound: LaCeOsBr
Radiation: Cu Kα (λ = 1.5418 Å)
Structure: DFT lattice parameters and positions (GGA-PBE)

The 10 most intense peaks (10° ≤ 2θ ≤ 90°), sorted by position:
| d [Å] | 2θ (°) | intensity |
| --- | --- | --- |
| 7.935 | 11.15 | 55 |
| 3.396 | 26.24 | 31 |
| 2.842 | 31.47 | 100 |
| 2.453 | 36.63 | 18 |
| 2.279 | 39.55 | 12 |
| 2.046 | 44.28 | 44 |
| 1.982 | 45.79 | 15 |
| 1.976 | 45.93 | 26 |
| 1.660 | 55.33 | 20 |
| 1.289 | 73.45 | 17 |

Cell and atoms:
Unit cell a=8.2791 b=8.2791 c=8.2791 alpha=28.61 beta=28.61 gamma=28.61
Fractional positions:
La 0.0000 0.0000 0.0000
Ce 0.2045 0.2045 0.2045
Os 0.5953 0.5953 0.5953
Br 0.7714 0.7714 0.7714

---

Record 7
Simulated PXRD pattern
Compound: Li2CeBr4
Radiation: Cu Kα (λ = 1.5418 Å)
Structure: DFT lattice parameters and positions (GGA-PBE)

The 10 most intense peaks (10° ≤ 2θ ≤ 90°), sorted by position:
| d [Å] | 2θ (°) | intensity |
| --- | --- | --- |
| 5.233 | 16.94 | 63 |
| 3.336 | 26.72 | 39 |
| 3.284 | 27.15 | 100 |
| 2.668 | 33.59 | 39 |
| 2.208 | 40.87 | 18 |
| 2.084 | 43.43 | 42 |
| 1.956 | 46.41 | 23 |
| 1.916 | 47.45 | 21 |
| 1.642 | 56.00 | 11 |
| 1.525 | 60.72 | 13 |

Cell and atoms:
Unit cell a=6.8353 b=6.8353 c=6.8353 alpha=103.78 beta=103.78 gamma=121.57
Fractional positions:
Li 0.2500 0.7500 0.5000
Li 0.7500 0.2500 0.5000
Ce 0.0000 0.0000 0.0000
Br 0.1443 0.6776 0.8219
Br 0.3224 0.1443 0.4667
Br 0.6776 0.8557 0.5333
Br 0.8557 0.3224 0.1781

---

Record 8
Simulated PXRD pattern
Compound: LiCeSeBr
Radiation: Cu Kα (λ = 1.5418 Å)
Structure: DFT lattice parameters and positions (GGA-PBE)

The 10 most intense peaks (10° ≤ 2θ ≤ 90°), sorted by position:
| d [Å] | 2θ (°) | intensity |
| --- | --- | --- |
| 7.271 | 12.17 | 60 |
| 3.407 | 26.16 | 21 |
| 3.108 | 28.72 | 100 |
| 2.770 | 32.32 | 18 |
| 2.660 | 33.69 | 23 |
| 2.450 | 36.68 | 18 |
| 2.087 | 43.36 | 27 |
| 2.071 | 43.72 | 43 |
| 1.723 | 53.15 | 18 |
| 1.366 | 68.72 | 20 |

Cell and atoms:
Unit cell a=14.7365 b=14.7365 c=14.7365 alpha=16.15 beta=16.15 gamma=16.15
Fractional positions:
Li 0.1876 0.1876 0.1876
Li 0.8124 0.8124 0.8124
Ce 0.4173 0.4173 0.4173
Ce 0.5827 0.5827 0.5827
Se 0.1269 0.1269 0.1269
Se 0.8731 0.8731 0.8731
Br 0.2918 0.2918 0.2918
Br 0.7082 0.7082 0.7082

---

Record 9
Simulated PXRD pattern
Compound: SrLi2CeBr8
Radiation: Cu Kα (λ = 1.5418 Å)
Structure: DFT lattice parameters and positions (GGA-PBE)

The 10 most intense peaks (10° ≤ 2θ ≤ 90°), sorted by position:
| d [Å] | 2θ (°) | intensity |
| --- | --- | --- |
| 6.866 | 12.89 | 22 |
| 6.784 | 13.05 | 27 |
| 5.393 | 16.44 | 21 |
| 3.547 | 25.10 | 17 |
| 3.067 | 29.12 | 100 |
| 2.843 | 31.46 | 41 |
| 2.258 | 39.93 | 22 |
| 2.101 | 43.06 | 24 |
| 2.091 | 43.27 | 33 |
| 2.079 | 43.54 | 17 |

Cell and atoms:
Unit cell a=7.0069 b=7.2769 c=9.0303 alpha=72.04 beta=89.67 gamma=78.97
Fractional positions:
Sr 0.0000 0.0000 0.0000
Li 0.4614 0.3574 0.1738
Li 0.5386 0.6426 0.8262
Ce 0.0000 0.0000 0.5000
Br 0.1201 0.2214 0.6724
Br 0.1211 0.2383 0.2108
Br 0.3618 0.7519 0.5561
Br 0.3964 0.7301 0.0572
Br 0.6036 0.2699 0.9428
Br 0.6382 0.2481 0.4439
Br 0.8789 0.7617 0.7892
Br 0.8799 0.7786 0.3276

---

Record 10
Simulated PXRD pattern
Compound: LiCeTlBr6
Radiation: Cu Kα (λ = 1.5418 Å)
Structure: DFT lattice parameters and positions (GGA-PBE)

The 10 most intense peaks (10° ≤ 2θ ≤ 90°), sorted by position:
| d [Å] | 2θ (°) | intensity |
| --- | --- | --- |
| 5.745 | 15.42 | 25 |
| 4.740 | 18.72 | 100 |
| 3.234 | 27.58 | 86 |
| 2.873 | 31.14 | 22 |
| 2.561 | 35.03 | 90 |
| 2.248 | 40.11 | 34 |
| 2.085 | 43.40 | 43 |
| 1.687 | 54.38 | 18 |
| 1.617 | 56.95 | 19 |
| 1.278 | 74.22 | 17 |

Cell and atoms:
Unit cell a=7.2220 b=7.2220 c=14.5339 alpha=90.00 beta=90.00 gamma=120.00
Fractional positions:
Li 0.3333 0.6667 0.2500
Li 0.6667 0.3333 0.7500
Ce 0.3333 0.6667 0.7500
Ce 0.6667 0.3333 0.2500
Tl 0.0000 0.0000 0.0000
Tl 0.0000 0.0000 0.5000
Br 0.0020 0.3681 0.1399
Br 0.0020 0.6339 0.3601
Br 0.3661 0.3681 0.3601
Br 0.3661 0.9980 0.1399
Br 0.3681 0.0020 0.6399
Br 0.3681 0.3661 0.8601
Br 0.6319 0.6339 0.1399
Br 0.6319 0.9980 0.3601
Br 0.6339 0.0020 0.8601
Br 0.6339 0.6319 0.6399
Br 0.9980 0.3661 0.6399
Br 0.9980 0.6319 0.8601

---

Record 11
Simulated PXRD pattern
Compound: Rb2CeMgBr6
Radiation: Cu Kα (λ = 1.5418 Å)
Structure: DFT lattice parameters and positions (GGA-PBE)

The 10 most intense peaks (10° ≤ 2θ ≤ 90°), sorted by position:
| d [Å] | 2θ (°) | intensity |
| --- | --- | --- |
| 5.762 | 15.38 | 21 |
| 4.074 | 21.82 | 14 |
| 3.341 | 26.69 | 35 |
| 3.313 | 26.91 | 36 |
| 2.881 | 31.04 | 100 |
| 2.037 | 44.48 | 47 |
| 2.026 | 44.74 | 12 |
| 1.733 | 52.83 | 15 |
| 1.657 | 55.46 | 12 |
| 1.288 | 73.52 | 20 |

Cell and atoms:
Unit cell a=8.1028 b=11.5159 c=8.2026 alpha=90.00 beta=90.00 gamma=90.00
Fractional positions:
Rb 0.2500 0.0116 0.2267
Rb 0.2500 0.4884 0.2267
Rb 0.7500 0.5116 0.7733
Rb 0.7500 0.9884 0.7733
Ce 0.2500 0.2500 0.7399
Ce 0.7500 0.7500 0.2601
Mg 0.2500 0.7500 0.7553
Mg 0.7500 0.2500 0.2447
Br 0.0028 0.7500 0.5209
Br 0.0085 0.7500 0.0019
Br 0.2500 0.5075 0.7620
Br 0.2500 0.9925 0.7620
Br 0.4915 0.7500 0.0019
Br 0.4972 0.7500 0.5209
Br 0.5028 0.2500 0.4791
Br 0.5085 0.2500 0.9981
Br 0.7500 0.0075 0.2380
Br 0.7500 0.4925 0.2380
Br 0.9915 0.2500 0.9981
Br 0.9972 0.2500 0.4791